Record 1
Structure and theoretical X-ray diffraction stick pattern of Zr5TiZn3 (a crystal structure in Alexandria, relaxed with GGA-PBE; Cu Kα (weighted mean of Kα1 and Kα2)).
Kinematic intensities with the Lorentz-polarization factor, no thermal factor.

Principal peaks in the range 10° ≤ 2θ ≤ 90°, by intensity:
two_theta  d_spacing  Rel. int.
37.40  2.404  100
67.48  1.388  23
53.93  1.700  15
75.73  1.256  14
48.90  1.862  6
79.80  1.202  5
30.34  2.946  4
63.11  1.473  4
12.27  7.211  2
26.21  3.400  2

Atomic structure:
Cell lengths 8.327, 8.327, 5.892 Å; angles 90.00, 90.00, 120.00 degrees
Atoms (fractional coordinates):
Zr: 0.000 0.320 0.250
Zr: 0.000 0.680 0.750
Zr: 0.320 0.000 0.250
Zr: 0.320 0.320 0.750
Zr: 0.333 0.667 0.000
Zr: 0.333 0.667 0.500
Zr: 0.667 0.333 0.000
Zr: 0.667 0.333 0.500
Zr: 0.680 0.000 0.750
Zr: 0.680 0.680 0.250
Ti: 0.000 0.000 0.000
Ti: 0.000 0.000 0.500
Zn: 0.000 0.340 0.750
Zn: 0.000 0.660 0.250
Zn: 0.340 0.000 0.750
Zn: 0.340 0.340 0.250
Zn: 0.660 0.000 0.250
Zn: 0.660 0.660 0.750



Record 2
Structure and theoretical X-ray diffraction stick pattern of K3Ag2Sn (a crystal structure in Alexandria, relaxed with GGA-PBE; Cu Kα (weighted mean of Kα1 and Kα2)).
Kinematic intensities with the Lorentz-polarization factor, no thermal factor.

Principal peaks in the range 10° ≤ 2θ ≤ 90°, by intensity:
two_theta  d_spacing  Rel. int.
11.29  7.838  100
31.11  2.875  57
36.13  2.486  37
34.32  2.613  26
26.67  3.343  22
13.92  6.364  21
39.63  2.274  20
17.81  4.979  15
27.80  3.209  15
46.34  1.959  13

Atomic structure:
Cell lengths 8.077, 8.077, 6.448 Å; angles 90.00, 90.00, 103.98 degrees
Atoms (fractional coordinates):
K: 0.065 0.935 0.750
K: 0.089 0.564 0.250
K: 0.436 0.911 0.250
K: 0.564 0.089 0.750
K: 0.911 0.436 0.750
K: 0.935 0.065 0.250
Ag: 0.351 0.351 0.000
Ag: 0.351 0.351 0.500
Ag: 0.649 0.649 0.000
Ag: 0.649 0.649 0.500
Sn: 0.352 0.648 0.750
Sn: 0.648 0.352 0.250



Record 3
Structure and theoretical X-ray diffraction stick pattern of Pu3Al7Zn2 (a crystal structure in Alexandria, relaxed with GGA-PBE; Cu Kα (weighted mean of Kα1 and Kα2)).
Kinematic intensities with the Lorentz-polarization factor, no thermal factor.

Principal peaks in the range 10° ≤ 2θ ≤ 90°, by intensity:
two_theta  d_spacing  Rel. int.
38.68  2.328  100
32.49  2.756  95
18.90  4.695  73
30.43  2.937  69
20.43  4.348  41
33.28  2.692  37
63.27  1.470  30
37.86  2.377  30
56.69  1.624  26
62.12  1.494  25

Atomic structure:
Cell lengths 9.259, 9.259, 9.259 Å; angles 34.63, 34.63, 34.63 degrees
Atoms (fractional coordinates):
Pu: 0.000 0.000 0.000
Pu: 0.143 0.143 0.143
Pu: 0.857 0.857 0.857
Al: 0.076 0.585 0.585
Al: 0.415 0.415 0.924
Al: 0.415 0.924 0.415
Al: 0.500 0.500 0.500
Al: 0.585 0.076 0.585
Al: 0.585 0.585 0.076
Al: 0.924 0.415 0.415
Zn: 0.335 0.335 0.335
Zn: 0.665 0.665 0.665



Record 4
Structure and theoretical X-ray diffraction stick pattern of Tm7Zn2Sn2 (a crystal structure in Alexandria, relaxed with GGA-PBE; Cu Kα (weighted mean of Kα1 and Kα2)).
Kinematic intensities with the Lorentz-polarization factor, no thermal factor.

Principal peaks in the range 10° ≤ 2θ ≤ 90°, by intensity:
two_theta  d_spacing  Rel. int.
37.66  2.388  100
27.75  3.214  71
32.66  2.742  68
28.61  3.120  54
36.98  2.431  41
25.69  3.467  37
29.87  2.991  27
61.61  1.505  20
45.74  1.984  20
62.06  1.495  19

Atomic structure:
Cell lengths 6.769, 6.769, 7.137 Å; angles 90.00, 90.00, 108.24 degrees
Atoms (fractional coordinates):
Tm: 0.000 0.000 0.000
Tm: 0.000 0.500 0.270
Tm: 0.000 0.500 0.730
Tm: 0.500 0.000 0.270
Tm: 0.500 0.000 0.730
Tm: 0.500 0.500 0.239
Tm: 0.500 0.500 0.761
Zn: 0.287 0.713 0.000
Zn: 0.713 0.287 0.000
Sn: 0.183 0.183 0.500
Sn: 0.817 0.817 0.500